(1)
Structure and computed powder diffraction line list of NdSmPbSe (DFT lattice parameters and positions (PBE); λ = 1.5418 Å (Cu Kα)).
Peak positions follow from Bragg's law for the DFT cell and can differ from measured ones.

Top 10 peaks for 5 to 70 degrees two-theta, sorted by position:
hkl	d (Å)	two_theta	I (rel.)
0 0 1	6.236	14.20	10
1 0 0	4.391	20.22	8
0 0 2	3.118	28.63	44
1 1 0	3.105	28.75	86
1 1 1	2.779	32.21	6
2 0 0	2.199	41.05	100
2 0 2	1.795	50.87	36
2 2 0	1.552	59.55	11
1 1 4	1.393	67.19	16
3 1 0	1.389	67.42	31

Cell and atoms:
```
data_NdSmPbSe
_chemical_formula_sum 'Nd1 Sm1 Pb1 Se1'
_symmetry_space_group_name_H-M 'P 4/m m m'
_symmetry_Int_Tables_number 123
_symmetry_space_group_name_Hall '-P 4 2'
_cell_length_a 4.391
_cell_length_b 4.391
_cell_length_c 6.236
_cell_angle_alpha 90.00
_cell_angle_beta 90.00
_cell_angle_gamma 90.00
loop_
_atom_site_label
_atom_site_type_symbol
_atom_site_fract_x
_atom_site_fract_y
_atom_site_fract_z
_atom_site_occupancy
Nd1 Nd 0.000 0.000 0.000 1
Sm1 Sm 0.500 0.500 0.500 1
Pb1 Pb 0.000 0.000 0.500 1
Se1 Se 0.500 0.500 0.000 1
```

***

(2)
Structure and computed powder diffraction line list of K2Rb4I (DFT lattice parameters and positions (PBE); λ = 1.5418 Å (Cu Kα)).
Peak positions follow from Bragg's law for the DFT cell and can differ from measured ones.

Top 10 peaks for 5 to 70 degrees two-theta, sorted by position:
hkl	d (Å)	two_theta	I (rel.)
0 0 2	11.777	7.51	88
1 0 1	6.823	12.97	78
1 1 0	5.041	17.59	32
1 1 2	4.634	19.15	27
0 0 6	3.927	22.64	87
1 1 4	3.829	23.23	37
2 0 0	3.564	24.98	97
2 0 6	2.639	33.97	100
2 2 0	2.520	35.62	37
2 2 6	2.121	42.63	47

Cell and atoms:
```
data_K2Rb4I
_chemical_formula_sum 'K4 Rb8 I2'
_symmetry_space_group_name_H-M 'I 4/m m m'
_symmetry_Int_Tables_number 139
_symmetry_space_group_name_Hall '-I 4 2'
_cell_length_a 7.129
_cell_length_b 7.129
_cell_length_c 23.555
_cell_angle_alpha 90.00
_cell_angle_beta 90.00
_cell_angle_gamma 90.00
loop_
_atom_site_label
_atom_site_type_symbol
_atom_site_fract_x
_atom_site_fract_y
_atom_site_fract_z
_atom_site_occupancy
K1 K 0.000 0.000 0.148 1
Rb1 Rb 0.000 0.000 0.338 1
Rb2 Rb 0.000 0.500 0.000 1
I1 I 0.000 0.000 0.500 1
```

***

(3)
Structure and computed powder diffraction line list of TlCuF2 (DFT lattice parameters and positions (PBE); λ = 1.5418 Å (Cu Kα)).
Peak positions follow from Bragg's law for the DFT cell and can differ from measured ones.

Top 10 peaks for 5 to 70 degrees two-theta, sorted by position:
hkl	d (Å)	two_theta	I (rel.)
0 1 1	3.697	24.07	18
2 0 0	3.379	26.38	66
1 1 2	2.925	30.57	100
2 1 1	2.494	36.02	22
2 0 4	2.212	40.79	22
0 1 5	2.008	45.16	14
0 2 0	1.950	46.59	25
3 1 2	1.850	49.27	15
2 1 5	1.726	53.07	15
2 2 0	1.688	54.34	24

Cell and atoms:
```
data_TlCuF2
_chemical_formula_sum 'Tl4 Cu4 F8'
_symmetry_space_group_name_H-M 'P n m a'
_symmetry_Int_Tables_number 62
_cell_length_a 6.754
_cell_length_b 3.897
_cell_length_c 11.711
_cell_angle_alpha 90.00
_cell_angle_beta 90.00
_cell_angle_gamma 90.00
loop_
_symmetry_equiv_pos_as_xyz
'x,y,z'
'-x,-y,-z'
'-x+1/2,-y,z+1/2'
'x+1/2,y,-z+1/2'
'x+1/2,-y+1/2,-z+1/2'
'-x+1/2,y+1/2,z+1/2'
'-x,y+1/2,-z'
'x,-y+1/2,z'
loop_
_atom_site_label
_atom_site_type_symbol
_atom_site_fract_x
_atom_site_fract_y
_atom_site_fract_z
_atom_site_occupancy
Tl1 Tl 0.029 0.250 0.162 1
Cu1 Cu 0.049 0.750 0.420 1
F1 F 0.186 0.250 0.958 1
F2 F 0.188 0.250 0.656 1
```

***

(4)
Structure and computed powder diffraction line list of AlCuOs2 (DFT lattice parameters and positions (PBE); λ = 1.5418 Å (Cu Kα)).
Peak positions follow from Bragg's law for the DFT cell and can differ from measured ones.

Top 10 peaks for 5 to 70 degrees two-theta, sorted by position:
hkl	d (Å)	two_theta	I (rel.)
2 0 0	4.256	20.87	92
1 1 -1	2.350	38.31	41
0 0 2	2.310	38.99	20
2 0 -2	2.235	40.36	51
1 1 1	2.223	40.57	100
4 0 0	2.128	42.48	43
3 1 -1	1.923	47.26	64
2 0 2	1.873	48.60	30
3 1 1	1.731	52.90	16
1 1 -3	1.368	68.63	21

Cell and atoms:
```
data_AlCuOs2
_chemical_formula_sum 'Al2 Cu2 Os4'
_symmetry_space_group_name_H-M 'C 1 2/m 1'
_symmetry_Int_Tables_number 12
_cell_length_a 8.703
_cell_length_b 2.762
_cell_length_c 4.724
_cell_angle_alpha 90.00
_cell_angle_beta 102.01
_cell_angle_gamma 90.00
loop_
_symmetry_equiv_pos_as_xyz
'x,y,z'
'-x,-y,-z'
'-x,y,-z'
'x,-y,z'
'x+1/2,y+1/2,z'
'-x+1/2,-y+1/2,-z'
'-x+1/2,y+1/2,-z'
'x+1/2,-y+1/2,z'
loop_
_atom_site_label
_atom_site_type_symbol
_atom_site_fract_x
_atom_site_fract_y
_atom_site_fract_z
_atom_site_occupancy
Al1 Al 0.000 0.000 0.000 1
Cu1 Cu 0.000 0.500 0.500 1
Os1 Os 0.243 0.500 0.249 1
```

***

(5)
Structure and computed powder diffraction line list of PmCo2Sn7 (DFT lattice parameters and positions (PBE); λ = 1.5418 Å (Cu Kα)).
Peak positions follow from Bragg's law for the DFT cell and can differ from measured ones.

Top 10 peaks for 5 to 70 degrees two-theta, sorted by position:
hkl	d (Å)	two_theta	I (rel.)
0 0 1	4.536	19.57	31
1 1 1	3.843	23.14	38
2 0 1	3.119	28.62	61
1 3 1	2.987	29.92	27
0 4 1	2.698	33.21	79
2 4 0	2.645	33.90	100
3 1 1	2.383	37.75	66
0 0 2	2.268	39.74	56
1 5 1	2.231	40.43	30
2 4 2	1.722	53.20	57

Cell and atoms:
```
data_PmCo2Sn7
_chemical_formula_sum 'Pm2 Co4 Sn14'
_symmetry_space_group_name_H-M 'C m m m'
_symmetry_Int_Tables_number 65
_symmetry_space_group_name_Hall '-C 2 2'
_cell_length_a 8.592
_cell_length_b 13.424
_cell_length_c 4.536
_cell_angle_alpha 90.00
_cell_angle_beta 90.00
_cell_angle_gamma 90.00
loop_
_atom_site_label
_atom_site_type_symbol
_atom_site_fract_x
_atom_site_fract_y
_atom_site_fract_z
_atom_site_occupancy
Pm1 Pm 0.000 0.000 0.000 1
Co1 Co 0.000 0.319 0.500 1
Sn1 Sn 0.000 0.249 0.000 1
Sn2 Sn 0.000 0.500 0.500 1
Sn3 Sn 0.201 0.140 0.500 1
```

***

(6)
Structure and computed powder diffraction line list of Tb6AgHg2 (DFT lattice parameters and positions (PBE); λ = 1.5418 Å (Cu Kα)).
Peak positions follow from Bragg's law for the DFT cell and can differ from measured ones.

Top 10 peaks for 5 to 70 degrees two-theta, sorted by position:
hkl	d (Å)	two_theta	I (rel.)
1 1 -1	4.157	21.38	43
2 0 1	3.591	24.79	11
2 2 1	2.549	35.21	100
6 0 0	2.539	35.35	50
3 3 0	2.179	41.45	8
5 1 1	2.167	41.68	16
0 4 0	1.809	50.46	9
4 0 2	1.796	50.85	18
6 4 0	1.473	63.11	18
0 2 3	1.468	63.37	36

Cell and atoms:
```
data_Tb6AgHg2
_chemical_formula_sum 'Tb12 Ag2 Hg4'
_symmetry_space_group_name_H-M 'C 1 2/m 1'
_symmetry_Int_Tables_number 12
_cell_length_a 16.058
_cell_length_b 7.235
_cell_length_c 5.077
_cell_angle_alpha 90.00
_cell_angle_beta 108.37
_cell_angle_gamma 90.00
loop_
_symmetry_equiv_pos_as_xyz
'x,y,z'
'-x,-y,-z'
'-x,y,-z'
'x,-y,z'
'x+1/2,y+1/2,z'
'-x+1/2,-y+1/2,-z'
'-x+1/2,y+1/2,-z'
'x+1/2,-y+1/2,z'
loop_
_atom_site_label
_atom_site_type_symbol
_atom_site_fract_x
_atom_site_fract_y
_atom_site_fract_z
_atom_site_occupancy
Tb1 Tb 0.000 0.246 0.000 1
Tb2 Tb 0.165 0.248 0.665 1
Ag1 Ag 0.000 0.000 0.500 1
Hg1 Hg 0.167 0.500 0.167 1
```

***

(7)
Structure and computed powder diffraction line list of Al2SiTe4 (DFT lattice parameters and positions (PBE); λ = 1.5418 Å (Cu Kα)).
Peak positions follow from Bragg's law for the DFT cell and can differ from measured ones.

Top 10 peaks for 5 to 70 degrees two-theta, sorted by position:
hkl	d (Å)	two_theta	I (rel.)
1 0 3	3.940	22.57	22
2 0 0	3.712	23.98	14
1 2 1	3.229	27.62	100
1 1 4	2.904	30.79	58
1 0 5	2.611	34.35	21
2 2 2	2.456	36.58	19
3 1 2	2.225	40.55	27
3 0 3	2.184	41.34	23
2 1 7	1.708	53.66	14
4 2 2	1.615	57.04	12

Cell and atoms:
```
data_Al2SiTe4
_chemical_formula_sum 'Al8 Si4 Te16'
_symmetry_space_group_name_H-M 'I 41/a'
_symmetry_Int_Tables_number 88
_cell_length_a 7.423
_cell_length_b 7.423
_cell_length_c 13.945
_cell_angle_alpha 90.00
_cell_angle_beta 90.00
_cell_angle_gamma 90.00
loop_
_symmetry_equiv_pos_as_xyz
'x,y,z'
'-x,-y,-z'
'-y+3/4,x+1/4,z+1/4'
'y+3/4,-x+1/4,-z+1/4'
'-x+1/2,-y,z+1/2'
'x+1/2,y,-z+1/2'
'y+3/4,-x+3/4,z+3/4'
'-y+3/4,x+3/4,-z+3/4'
'x+1/2,y+1/2,z+1/2'
'-x+1/2,-y+1/2,-z+1/2'
'-y+1/4,x+3/4,z+3/4'
'y+1/4,-x+3/4,-z+3/4'
'-x,-y+1/2,z'
'x,y+1/2,-z'
'y+1/4,-x+1/4,z+1/4'
'-y+1/4,x+1/4,-z+1/4'
loop_
_atom_site_label
_atom_site_type_symbol
_atom_site_fract_x
_atom_site_fract_y
_atom_site_fract_z
_atom_site_occupancy
Al1 Al 0.000 0.000 0.000 1
Si1 Si 0.000 0.250 0.625 1
Te1 Te 0.133 0.438 0.813 1
```